Calculated powder diffraction line list of Ca9B2C4Cl8 for Cu Ka, from DFT lattice parameters and positions (PBE).

Structure:
Cell: 11.680 13.536 12.171 Å, 90.00 90.00 90.00°
Space group Cmcm (No. 63)
Inequivalent atoms, fractional coordinates:
Ca 0.000 0.120 0.250 (multiplicity 4)
Ca 0.000 0.341 0.093 (multiplicity 8)
Ca 0.181 0.152 0.550 (multiplicity 16)
Ca 0.187 0.379 0.750 (multiplicity 8)
B 0.166 0.252 0.250 (multiplicity 8)
C 0.170 0.233 0.132 (multiplicity 16)
Cl 0.000 0.000 0.000 (multiplicity 4)
Cl 0.000 0.276 0.620 (multiplicity 8)
Cl 0.000 0.488 0.250 (multiplicity 4)
Cl 0.161 0.500 0.000 (multiplicity 8)
Cl 0.162 0.037 0.750 (multiplicity 8)

Most intense lines, 2θ = 5–70°, by angle:
- hkl 0 2 3, d 3.480, 2θ 25.60, I 41
- hkl 0 0 4, d 3.043, 2θ 29.35, I 11
- hkl 3 3 0, d 2.948, 2θ 30.32, I 18
- hkl 3 3 1, d 2.865, 2θ 31.22, I 44
- hkl 0 2 4, d 2.775, 2θ 32.26, I 30
- hkl 3 3 2, d 2.653, 2θ 33.79, I 100
- hkl 3 5 2, d 2.088, 2θ 43.34, I 15
- hkl 3 1 5, d 2.040, 2θ 44.40, I 22
- hkl 0 6 3, d 1.972, 2θ 46.03, I 14
- hkl 6 0 0, d 1.948, 2θ 46.63, I 34


Calculated powder diffraction line list of Ce2PuTc2 for Cu Ka, from DFT lattice parameters and positions (PBE).

Structure:
Cell: 9.961 5.831 7.797 Å, 90.00 101.43 90.00°
Space group C2/c (No. 15)
Inequivalent atoms, fractional coordinates:
Ce 0.148 0.131 0.157 (multiplicity 8)
Pu 0.000 0.333 0.750 (multiplicity 4)
Tc 0.132 0.376 0.512 (multiplicity 8)

Most intense lines, 2θ = 5–70°, by angle:
- hkl 3 1 -1, d 2.828, 2θ 31.63, I 51
- hkl 2 0 2, d 2.756, 2θ 32.49, I 63
- hkl 0 2 1, d 2.724, 2θ 32.88, I 100
- hkl 3 1 1, d 2.525, 2θ 35.56, I 65
- hkl 3 1 -2, d 2.497, 2θ 35.96, I 52
- hkl 1 1 -3, d 2.370, 2θ 37.97, I 73
- hkl 2 2 1, d 2.310, 2θ 38.98, I 72
- hkl 4 0 -2, d 2.271, 2θ 39.68, I 35
- hkl 1 1 -4, d 1.849, 2θ 49.29, I 30
- hkl 6 2 -1, d 1.443, 2θ 64.61, I 32


Calculated powder diffraction line list of NdIn2Hg8 for Cu Ka, from DFT lattice parameters and positions (PBE).

Structure:
Cell: 9.690 13.925 4.449 Å, 90.00 90.23 90.00°
Space group C2/m (No. 12)
Inequivalent atoms, fractional coordinates:
Nd 0.000 0.000 0.000 (multiplicity 2)
In 0.000 0.380 0.500 (multiplicity 4)
Hg 0.000 0.235 0.000 (multiplicity 4)
Hg 0.170 0.500 0.000 (multiplicity 4)
Hg 0.181 0.135 0.501 (multiplicity 8)

Most intense lines, 2θ = 5–70°, by angle:
- hkl 0 4 1, d 2.742, 2θ 32.66, I 100
- hkl 3 3 0, d 2.651, 2θ 33.81, I 36
- hkl 3 1 -1, d 2.574, 2θ 34.86, I 36
- hkl 3 1 1, d 2.564, 2θ 34.99, I 36
- hkl 0 0 2, d 2.224, 2θ 40.56, I 30
- hkl 3 5 0, d 2.109, 2θ 42.88, I 21
- hkl 3 7 -1, d 1.583, 2θ 58.29, I 14
- hkl 6 4 -1, d 1.393, 2θ 67.21, I 13
- hkl 6 4 1, d 1.390, 2θ 67.36, I 12
- hkl 0 4 3, d 1.364, 2θ 68.81, I 12